Simulated XRD peak list of Li5BeN2 for Cu Kα, from a crystal structure in Alexandria, relaxed with GGA-PBE.

Principal peaks in the range 10° ≤ 2θ ≤ 90°, by angle:
2θ (°), intensity, hkl
27.5, 381, 1 0 0
28.5, 775, 1 0 1
29.1, 227, 0 0 4
35.3, 187, 1 0 3
46.4, 332, 1 0 5
48.7, 1000, 1 1 0
57.7, 94, 1 1 4
60.0, 202, 1 0 7
69.5, 74, 2 0 5
81.1, 161, 1 1 8

Structural model:
Unit cell a=3.7421 b=3.7421 c=12.2742 alpha=90.00 beta=90.00 gamma=120.00
Space group P6_3/mmc (No. 194)
Symmetry-distinct sites (fractional):
Li  0.0000  0.0000  0.1317 [4 per cell]
Li  0.3333  0.6667  0.0419 [4 per cell]
Li  0.3333  0.6667  0.2500 [2 per cell]
Be  0.3333  0.6667  0.7500 [2 per cell]
N  0.3333  0.6667  0.6211 [4 per cell]

***

Simulated XRD peak list of Na4B5C3 for Cu Kα, from a crystal structure in Alexandria, relaxed with GGA-PBE.

Principal peaks in the range 10° ≤ 2θ ≤ 90°, by angle:
2θ (°), intensity, hkl
35.9, 97, 0 2 0
36.3, 171, 2 1 -1
41.9, 491, 0 2 2
42.2, 1000, 2 1 1
42.4, 381, 0 0 4
57.0, 96, 2 1 3
64.8, 173, 2 3 -1
77.5, 126, 2 1 5
80.5, 170, 2 3 3
80.9, 105, 4 2 0

Structural model:
Unit cell a=5.695 b=5.004 c=8.984 alpha=90.00 beta=108.51 gamma=90.00
Space group P2/c (No. 13)
Symmetry-distinct sites (fractional):
Na  0.125  0.249  0.000 [4 per cell]
Na  0.374  0.250  0.497 [4 per cell]
B  0.000  0.069  0.250 [2 per cell]
B  0.000  0.410  0.250 [2 per cell]
B  0.262  0.406  0.751 [4 per cell]
B  0.500  0.086  0.250 [2 per cell]
C  0.255  0.085  0.751 [4 per cell]
C  0.500  0.415  0.250 [2 per cell]

***

Simulated XRD peak list of Nd2Rh17 for Cu Kα, from a crystal structure in Alexandria, relaxed with GGA-PBE.

Principal peaks in the range 10° ≤ 2θ ≤ 90°, by angle:
2θ (°), intensity, hkl
34.4, 352, 3 0 0
35.7, 289, 0 2 4
39.9, 639, 2 2 0
40.2, 1000, 0 3 3
41.2, 353, 0 0 6
41.4, 229, 2 0 5
45.2, 600, 2 2 3
65.6, 159, 3 3 3
72.5, 225, 6 0 0
74.5, 210, 0 3 9

Structural model:
Unit cell a=9.0318 b=9.0318 c=13.1452 alpha=90.00 beta=90.00 gamma=120.00
Space group R-3m (No. 166, hexagonal axes)
Symmetry-distinct sites (fractional):
Nd  0.0000  0.0000  0.1610 [6 per cell]
Rh  0.0000  0.0000  0.3996 [6 per cell]
Rh  0.0000  0.2954  0.5000 [18 per cell]
Rh  0.0000  0.5000  0.0000 [9 per cell]
Rh  0.0014  0.5007  0.6512 [18 per cell]

***

Simulated XRD peak list of Pr3GePb for Cu Kα, from a crystal structure in Alexandria, relaxed with GGA-PBE.

Principal peaks in the range 10° ≤ 2θ ≤ 90°, by angle:
2θ (°), intensity, hkl
23.0, 308, 1 1 2
24.4, 665, 3 1 -1
25.6, 292, 0 2 2
30.4, 500, 3 1 2
32.5, 833, 0 4 1
32.8, 533, 3 3 -1
33.5, 1000, 4 2 1
34.7, 896, 0 2 3
34.8, 601, 4 0 -2
37.5, 300, 2 2 -3

Structural model:
Unit cell a=12.827 b=11.643 c=8.657 alpha=90.00 beta=90.07 gamma=90.00
Space group C2/c (No. 15)
Symmetry-distinct sites (fractional):
Pr  0.098  0.093  0.414 [8 per cell]
Pr  0.103  0.408  0.585 [8 per cell]
Pr  0.250  0.180  0.818 [8 per cell]
Ge  0.247  0.052  0.132 [8 per cell]
Pb  0.000  0.162  0.750 [4 per cell]
Pb  0.000  0.342  0.250 [4 per cell]

***

Simulated XRD peak list of DyHg3Pd6 for Cu Kα, from a crystal structure in Alexandria, relaxed with GGA-PBE.

Principal peaks in the range 10° ≤ 2θ ≤ 90°, by angle:
2θ (°), intensity, hkl
34.8, 129, 3 0 -2
35.3, 193, 2 0 2
37.6, 432, 0 2 0
39.7, 553, 3 1 -2
40.1, 1000, 1 1 -4
52.5, 164, 2 2 2
69.2, 107, 3 3 -2
69.5, 197, 1 3 -4
75.3, 104, 4 2 -6
75.5, 100, 5 2 0

Structural model:
Unit cell a=7.874 b=4.786 c=10.195 alpha=90.00 beta=109.91 gamma=90.00
Space group P2_1/m (No. 11)
Symmetry-distinct sites (fractional):
Dy  0.007  0.250  0.345 [2 per cell]
Hg  0.175  0.250  0.107 [2 per cell]
Hg  0.397  0.750  0.280 [2 per cell]
Hg  0.406  0.750  0.778 [2 per cell]
Pd  0.009  0.750  0.178 [2 per cell]
Pd  0.208  0.250  0.638 [2 per cell]
Pd  0.210  0.750  0.966 [2 per cell]
Pd  0.211  0.750  0.480 [2 per cell]
Pd  0.395  0.250  0.430 [2 per cell]
Pd  0.396  0.250  0.932 [2 per cell]